Simulated powder X-ray diffraction pattern
Compound: La4GePbO
Radiation: Cu Kα X-rays
Structure: a cell relaxed with PBE
Peak positions follow from Bragg's law for the DFT cell and can differ from measured ones.

Atomic structure:
```
14
Lattice="3.3608 -8.9299 0.0000 3.3608 8.9299 0.0000 0.0000 0.0000 6.7657" Properties=species:S:1:pos:R:3 pbc="T T T"
La 1.6804 4.4650 0.0000
La 1.6804 4.4650 3.3829
La 3.3608 7.8603 5.0743
La 3.3608 1.3927 5.0743
La 1.6804 -4.4650 0.0000
La 1.6804 -4.4650 3.3829
La 3.3608 -1.3927 1.6914
La 3.3608 -7.8603 1.6914
Ge 3.3608 6.8428 1.6914
Ge 3.3608 -6.8428 5.0743
Pb 3.3608 1.9532 1.6914
Pb 3.3608 -1.9532 5.0743
O 3.3608 3.7502 5.0743
O 3.3608 -3.7502 1.6914
```

Principal peaks in the range 5 to 70 degrees two-theta, by intensity:
- 2θ 37.73, intensity 100
- 2θ 28.22, intensity 80
- 2θ 28.37, intensity 69
- 2θ 33.23, intensity 69
- 2θ 33.37, intensity 64
- 2θ 48.94, intensity 59
- 2θ 30.02, intensity 57
- 2θ 31.29, intensity 52
- 2θ 65.20, intensity 23
- 2θ 40.08, intensity 22

***

Simulated powder X-ray diffraction pattern
Compound: EuGdBi2
Radiation: Cu Kα X-rays
Structure: a cell relaxed with PBE
Peak positions follow from Bragg's law for the DFT cell and can differ from measured ones.

Atomic structure:
```
4
Lattice="2.2943 1.3246 7.5819 -2.2943 1.3246 7.5819 0.0000 -2.6493 7.5819" Properties=species:S:1:pos:R:3 pbc="T T T"
Eu 0.0000 0.0000 0.0000
Gd 0.0000 0.0000 11.3729
Bi 0.0000 0.0000 5.5980
Bi 0.0000 0.0000 17.1477
```

Principal peaks in the range 5 to 70 degrees two-theta, by intensity:
- 2θ 27.38, intensity 100
- 2θ 38.95, intensity 39
- 2θ 39.27, intensity 39
- 2θ 48.53, intensity 21
- 2θ 64.13, intensity 19
- 2θ 63.68, intensity 18
- 2θ 56.50, intensity 13
- 2θ 48.00, intensity 7
- 2θ 23.72, intensity 3
- 2θ 46.25, intensity 1

***

Simulated powder X-ray diffraction pattern
Compound: Sm4Ho3Tm4
Radiation: Cu Kα X-rays
Structure: a cell relaxed with PBE
Peak positions follow from Bragg's law for the DFT cell and can differ from measured ones.

Atomic structure:
```
11
Lattice="-1.7484 2.8036 17.7102 1.7484 -2.8036 17.7102 1.7484 2.8036 -17.7102" Properties=species:S:1:pos:R:3 pbc="T T T"
Sm 0.0000 0.0000 3.1964
Sm 1.7484 0.0000 9.4649
Sm 0.0000 2.8036 8.2453
Sm 0.0000 0.0000 32.2240
Ho 1.7484 0.0000 0.0000
Ho 0.0000 0.0000 12.9031
Ho 0.0000 0.0000 22.5173
Tm 0.0000 0.0000 6.3935
Tm 1.7484 0.0000 16.1086
Tm 0.0000 2.8036 1.6016
Tm 0.0000 0.0000 29.0269
```

Principal peaks in the range 5 to 70 degrees two-theta, by intensity:
- 2θ 32.05, intensity 100
- 2θ 31.81, intensity 88
- 2θ 31.92, intensity 52
- 2θ 31.09, intensity 39
- 2θ 62.70, intensity 29
- 2θ 45.16, intensity 28
- 2θ 56.97, intensity 20
- 2θ 57.43, intensity 18
- 2θ 46.40, intensity 17
- 2θ 56.81, intensity 17

***

Simulated powder X-ray diffraction pattern
Compound: Zr3Pd2N
Radiation: Cu Kα X-rays
Structure: a cell relaxed with PBE
Peak positions follow from Bragg's law for the DFT cell and can differ from measured ones.

Atomic structure:
```
6
Lattice="4.6101 0.0000 0.0000 0.0000 3.2845 0.0000 -2.2948 0.0000 6.7121" Properties=species:S:1:pos:R:3 pbc="T T T"
Zr 0.0000 0.0000 0.0000
Zr 0.0102 1.6422 5.1006
Zr 2.3052 1.6422 1.6115
Pd 0.0041 0.0000 2.6374
Pd 2.3113 0.0000 4.0747
N 2.3051 0.0000 0.0000
```

Principal peaks in the range 5 to 70 degrees two-theta, by intensity:
- 2θ 34.18, intensity 100
- 2θ 38.81, intensity 85
- 2θ 39.08, intensity 54
- 2θ 38.35, intensity 51
- 2θ 39.24, intensity 41
- 2θ 55.90, intensity 33
- 2θ 56.00, intensity 18
- 2θ 67.67, intensity 13
- 2θ 49.28, intensity 11
- 2θ 27.15, intensity 11

***

Simulated powder X-ray diffraction pattern
Compound: Ac2Sm4Ho7
Radiation: Cu Kα X-rays
Structure: a cell relaxed with PBE
Peak positions follow from Bragg's law for the DFT cell and can differ from measured ones.

Atomic structure:
```
13
Lattice="6.1931 0.0000 0.0000 -3.0965 5.3633 0.0000 0.0000 0.0000 13.5322" Properties=species:S:1:pos:R:3 pbc="T T T"
Ac 0.0000 3.5756 0.0000
Ac 3.0965 1.7878 0.0000
Sm 0.0000 0.0000 5.3438
Sm 0.0000 0.0000 8.1884
Sm 0.0000 3.5756 6.7661
Sm 3.0965 1.7878 6.7661
Ho 0.0000 0.0000 0.0000
Ho -1.0879 1.8843 10.5859
Ho -2.0086 3.4791 2.9464
Ho 2.1758 0.0000 10.5859
Ho 1.0879 1.8843 2.9464
Ho 4.0173 0.0000 2.9464
Ho 2.0086 3.4791 10.5859
```

Principal peaks in the range 5 to 70 degrees two-theta, by intensity:
- 2θ 31.78, intensity 100
- 2θ 29.59, intensity 38
- 2θ 35.15, intensity 35
- 2θ 51.09, intensity 29
- 2θ 26.34, intensity 22
- 2θ 50.03, intensity 18
- 2θ 61.45, intensity 18
- 2θ 6.53, intensity 18
- 2θ 28.83, intensity 16
- 2θ 33.10, intensity 14

***

Simulated powder X-ray diffraction pattern
Compound: Li2Ag3Au8
Radiation: Cu Kα X-rays
Structure: a cell relaxed with PBE
Peak positions follow from Bragg's law for the DFT cell and can differ from measured ones.

Atomic structure:
```
13
Lattice="6.2430 -4.1982 0.0000 6.2430 4.1982 0.0000 -1.0100 0.0000 4.4792" Properties=species:S:1:pos:R:3 pbc="T T T"
Li 1.7208 0.0000 1.4430
Li 9.7551 0.0000 3.0363
Ag 6.2430 1.7620 0.0000
Ag 5.7380 0.0000 2.2396
Ag 6.2430 -1.7620 0.0000
Au 0.0471 0.0000 3.5188
Au 3.7301 1.8299 1.4411
Au 3.0786 0.0000 3.7219
Au 7.7459 1.8299 3.0381
Au 3.7301 -1.8299 1.4411
Au 8.3973 0.0000 0.7573
Au 7.7459 -1.8299 3.0381
Au 11.4288 0.0000 0.9604
```

Principal peaks in the range 5 to 70 degrees two-theta, by intensity:
- 2θ 38.43, intensity 100
- 2θ 34.69, intensity 46
- 2θ 39.52, intensity 28
- 2θ 43.09, intensity 23
- 2θ 27.18, intensity 23
- 2θ 24.35, intensity 18
- 2θ 40.77, intensity 17
- 2θ 39.71, intensity 15
- 2θ 45.03, intensity 15
- 2θ 25.00, intensity 14

***

Simulated powder X-ray diffraction pattern
Compound: In12Hg6Ge
Radiation: Cu Kα X-rays
Structure: a cell relaxed with PBE
Peak positions follow from Bragg's law for the DFT cell and can differ from measured ones.

Atomic structure:
```
19
Lattice="5.0858 2.9363 5.6900 -5.0858 2.9363 5.6900 0.0000 -5.8725 5.6900" Properties=species:S:1:pos:R:3 pbc="T T T"
In 0.0000 -2.2519 4.4492
In -1.9502 1.1260 4.4492
In -1.6434 -0.9488 7.0083
In 0.0000 -1.8977 10.0617
In -1.6434 0.9488 10.0617
In -1.9502 -1.1259 12.6208
In 1.9502 1.1259 4.4492
In 1.6434 -0.9488 7.0083
In 0.0000 1.8977 7.0083
In 1.6434 0.9488 10.0617
In 1.9502 -1.1259 12.6208
In 0.0000 2.2519 12.6208
Hg -3.2366 -1.8687 9.4633
Hg 0.0000 -3.7373 7.6067
Hg -3.2366 1.8687 7.6067
Hg 3.2366 -1.8687 9.4633
Hg 0.0000 3.7373 9.4633
Hg 3.2366 1.8687 7.6067
Ge 0.0000 0.0000 0.0000
```

Principal peaks in the range 5 to 70 degrees two-theta, by intensity:
- 2θ 34.37, intensity 100
- 2θ 30.44, intensity 24
- 2θ 54.10, intensity 19
- 2θ 31.44, intensity 17
- 2θ 44.33, intensity 15
- 2θ 33.20, intensity 14
- 2θ 65.68, intensity 12
- 2θ 63.92, intensity 10
- 2θ 63.38, intensity 9
- 2θ 34.16, intensity 8

***

Simulated powder X-ray diffraction pattern
Compound: La4Tl2Sb
Radiation: Cu Kα X-rays
Structure: a cell relaxed with PBE
Peak positions follow from Bragg's law for the DFT cell and can differ from measured ones.

Atomic structure:
```
7
Lattice="2.7880 1.6096 9.0766 -2.7880 1.6096 9.0766 0.0000 -3.2193 9.0766" Properties=species:S:1:pos:R:3 pbc="T T T"
La 0.0000 0.0000 3.2550
La 0.0000 0.0000 10.1654
La 0.0000 0.0000 17.0644
La 0.0000 0.0000 23.9747
Tl 0.0000 0.0000 6.5432
Tl 0.0000 0.0000 20.6866
Sb 0.0000 0.0000 0.0000
```

Principal peaks in the range 5 to 70 degrees two-theta, by intensity:
- 2θ 32.14, intensity 100
- 2θ 57.26, intensity 29
- 2θ 46.09, intensity 17
- 2θ 19.52, intensity 15
- 2θ 37.87, intensity 8
- 2θ 57.41, intensity 6
- 2θ 44.17, intensity 6
- 2θ 67.15, intensity 6
- 2θ 60.92, intensity 4
- 2θ 18.66, intensity 4

***

Simulated powder X-ray diffraction pattern
Compound: Tm2Be4GaIr3
Radiation: Cu Kα X-rays
Structure: a cell relaxed with PBE
Peak positions follow from Bragg's law for the DFT cell and can differ from measured ones.

Atomic structure:
```
10
Lattice="3.8228 0.0000 0.0000 0.0000 3.8228 0.0000 0.0000 0.0000 10.0536" Properties=species:S:1:pos:R:3 pbc="T T T"
Tm 0.0000 1.9114 2.4313
Tm 1.9114 0.0000 7.6223
Be 0.0000 0.0000 0.0000
Be 0.0000 1.9114 6.4310
Be 1.9114 0.0000 3.6226
Be 1.9114 1.9114 0.0000
Ga 0.0000 0.0000 5.0268
Ir 0.0000 1.9114 8.7581
Ir 1.9114 0.0000 1.2955
Ir 1.9114 1.9114 5.0268
```

Principal peaks in the range 5 to 70 degrees two-theta, by intensity:
- 2θ 35.63, intensity 100
- 2θ 37.79, intensity 92
- 2θ 34.35, intensity 81
- 2θ 47.57, intensity 61
- 2θ 29.35, intensity 55
- 2θ 26.60, intensity 48
- 2θ 60.83, intensity 44
- 2θ 51.34, intensity 40
- 2θ 33.14, intensity 34
- 2θ 55.33, intensity 26

***

Simulated powder X-ray diffraction pattern
Compound: ScCu5Sn
Radiation: Cu Kα X-rays
Structure: a cell relaxed with PBE
Peak positions follow from Bragg's law for the DFT cell and can differ from measured ones.

Atomic structure:
```
28
Lattice="8.0667 0.0000 0.0000 0.0000 4.9195 0.0000 0.0000 0.0000 10.5367" Properties=species:S:1:pos:R:3 pbc="T T T"
Sc 1.9722 1.2299 0.6776
Sc 2.0612 3.6896 5.9460
Sc 6.0055 1.2299 4.5908
Sc 6.0945 3.6896 9.8591
Cu 0.4638 1.2299 6.3073
Cu 0.5596 2.4689 8.5708
Cu 0.5596 4.9103 8.5708
Cu 0.7021 3.6896 0.1821
Cu 1.4921 3.6896 2.5347
Cu 2.5413 1.2299 7.8031
Cu 3.3312 1.2299 5.4505
Cu 3.4738 0.0091 3.3025
Cu 3.4738 2.4506 3.3025
Cu 3.5696 3.6896 1.0390
Cu 4.4971 1.2299 9.4978
Cu 4.5929 2.4689 7.2343
Cu 4.5929 4.9103 7.2343
Cu 4.7355 3.6896 5.0862
Cu 5.5254 3.6896 2.7336
Cu 6.5746 1.2299 8.0020
Cu 7.3646 1.2299 10.3546
Cu 7.5071 0.0091 1.9659
Cu 7.5071 2.4506 1.9659
Cu 7.6029 3.6896 4.2294
Sn 1.0847 1.2299 3.7950
Sn 2.9486 3.6896 9.0634
Sn 5.1181 1.2299 1.4733
Sn 6.9820 3.6896 6.7417
```

Principal peaks in the range 5 to 70 degrees two-theta, by intensity:
- 2θ 45.04, intensity 100
- 2θ 39.12, intensity 89
- 2θ 46.46, intensity 87
- 2θ 43.96, intensity 77
- 2θ 38.61, intensity 54
- 2θ 44.43, intensity 51
- 2θ 22.79, intensity 50
- 2θ 45.81, intensity 43
- 2θ 36.53, intensity 37
- 2θ 41.96, intensity 33

***

Simulated powder X-ray diffraction pattern
Compound: Nd2Ho5In5
Radiation: Cu Kα X-rays
Structure: a cell relaxed with PBE
Peak positions follow from Bragg's law for the DFT cell and can differ from measured ones.

Atomic structure:
```
12
Lattice="6.0344 -2.5427 0.0000 6.0344 2.5427 0.0000 -3.8579 0.0000 11.2847" Properties=species:S:1:pos:R:3 pbc="T T T"
Nd -0.1008 0.0000 2.8966
Nd 8.3115 0.0000 8.3881
Ho 2.2936 0.0000 5.5980
Ho 3.6062 0.0000 2.4916
Ho 6.0344 0.0000 0.0000
Ho 4.6046 0.0000 8.7931
Ho 5.9172 0.0000 5.6867
In -1.9290 0.0000 5.6423
In -1.6885 0.0000 10.9215
In 0.2625 0.0000 8.0752
In 7.9483 0.0000 3.2095
In 9.8993 0.0000 0.3632
```

Principal peaks in the range 5 to 70 degrees two-theta, by intensity:
- 2θ 32.68, intensity 100
- 2θ 32.35, intensity 95
- 2θ 35.30, intensity 48
- 2θ 31.72, intensity 47
- 2θ 48.18, intensity 29
- 2θ 61.50, intensity 17
- 2θ 61.70, intensity 16
- 2θ 45.08, intensity 14
- 2θ 58.51, intensity 12
- 2θ 57.32, intensity 11

***

Simulated powder X-ray diffraction pattern
Compound: PuHfW
Radiation: Cu Kα X-rays
Structure: a cell relaxed with PBE
Peak positions follow from Bragg's law for the DFT cell and can differ from measured ones.

Atomic structure:
```
6
Lattice="2.9794 0.0000 0.0000 0.0000 4.7907 0.0000 0.0000 0.0000 8.4740" Properties=species:S:1:pos:R:3 pbc="T T T"
Pu 0.0000 0.0000 1.4446
Pu 0.0000 0.0000 7.0294
Hf 1.4897 0.0000 4.2370
Hf 1.4897 2.3953 0.0000
W 0.0000 2.3953 2.8872
W 0.0000 2.3953 5.5868
```

Principal peaks in the range 5 to 70 degrees two-theta, by intensity:
- 2θ 36.92, intensity 100
- 2θ 37.08, intensity 60
- 2θ 37.55, intensity 34
- 2θ 67.40, intensity 23
- 2θ 53.65, intensity 20
- 2θ 66.79, intensity 11
- 2θ 53.04, intensity 11
- 2θ 48.29, intensity 11
- 2θ 66.39, intensity 10
- 2θ 29.99, intensity 10

***

Simulated powder X-ray diffraction pattern
Compound: RbUSe4
Radiation: Cu Kα X-rays
Structure: a cell relaxed with PBE
Peak positions follow from Bragg's law for the DFT cell and can differ from measured ones.

Atomic structure:
```
12
Lattice="6.3218 0.0000 0.0000 0.0000 6.3218 0.0000 0.0000 0.0000 8.6385" Properties=species:S:1:pos:R:3 pbc="T T T"
Rb 1.5805 1.5805 0.0000
Rb 4.7414 4.7414 0.0000
U 1.5805 1.5805 4.3193
U 4.7414 4.7414 4.3193
Se 0.6564 3.8173 2.6648
Se 0.6564 5.6654 5.9737
Se 2.5045 3.8173 5.9737
Se 2.5045 5.6654 2.6648
Se 3.8173 0.6564 5.9737
Se 3.8173 2.5045 2.6648
Se 5.6654 0.6564 2.6648
Se 5.6654 2.5045 5.9737
```

Principal peaks in the range 5 to 70 degrees two-theta, by intensity:
- 2θ 10.24, intensity 100
- 2θ 28.74, intensity 95
- 2θ 35.18, intensity 49
- 2θ 33.35, intensity 42
- 2θ 45.37, intensity 41
- 2θ 46.67, intensity 28
- 2θ 19.86, intensity 27
- 2θ 37.14, intensity 18
- 2θ 62.59, intensity 18
- 2θ 28.23, intensity 16